# VPt3
Theoretical powder XRD pattern, Cu Kα. Input: a structure optimized by DFT (GGA-PBE).
Lines closer than 0.1° are merged.

Largest 6 diffraction maxima, in order of rising 2θ, 15 to 90 degrees two-theta:
2θ 22.66, I 16; 2θ 32.26, I 13; 2θ 39.78, I 100; 2θ 46.26, I 49; 2θ 67.50, I 32; 2θ 81.31, I 38

Cell and atoms:
a = 3.9247 Å, b = 3.9247 Å, c = 3.9247 Å
α = 90.00°, β = 90.00°, γ = 90.00°
Space group Pm-3m (No. 221)
Unique sites:
1 V 0.0000 0.0000 0.0000 [1 per cell]
2 Pt 0.0000 0.5000 0.5000 [3 per cell]

***

# Ag2S
Theoretical powder XRD pattern, Cu Kα. Input: a structure optimized by DFT (GGA-PBE).
Lines closer than 0.1° are merged.

Largest 6 diffraction maxima, in order of rising 2θ, 15 to 90 degrees two-theta:
2θ 21.16, I 100; 2θ 30.31, I 32; 2θ 31.33, I 38; 2θ 33.08, I 33; 2θ 37.26, I 46; 2θ 44.15, I 37

Cell and atoms:
a = 4.3452 Å, b = 5.8986 Å, c = 5.9113 Å
α = 90.00°, β = 104.95°, γ = 90.00°
Space group P2_1 (No. 4)
Unique sites:
1 Ag 0.0168 0.0000 0.4912 [2 per cell]
2 Ag 0.0941 0.9295 0.0086 [2 per cell]
3 S 0.2942 0.2465 0.8045 [2 per cell]